This entry pairs a crystal structure of Pr3Sm3Y8 with its calculated powder diffraction line list. Radiation: Cu Kα. Structure: a cell relaxed with GGA-PBE.
Peak positions follow from Bragg's law for the DFT cell and can differ from measured ones.

Top 12 peaks for 2θ from 5° to 70°, by angle:
23.09°, d = 3.852 Å, I = 11
28.60°, d = 3.121 Å, I = 20
29.12°, d = 3.067 Å, I = 22
30.35°, d = 2.945 Å, I = 28
31.16°, d = 2.870 Å, I = 47
31.58°, d = 2.833 Å, I = 100
32.99°, d = 2.715 Å, I = 46
44.06°, d = 2.055 Å, I = 20
55.72°, d = 1.650 Å, I = 20
56.53°, d = 1.628 Å, I = 14
60.81°, d = 1.523 Å, I = 11
61.92°, d = 1.499 Å, I = 11

Structural model:
a b c (Å): 9.832 9.832 9.832
angles (deg): 146.06 113.49 76.81
Atoms (fractional coordinates):
Pr: 0.000 0.000 0.000
Pr: 0.307 0.000 0.307
Pr: 0.693 0.000 0.693
Sm: 0.313 0.813 0.500
Sm: 0.500 0.500 0.000
Sm: 0.687 0.187 0.500
Y: 0.058 0.397 0.661
Y: 0.060 0.220 0.839
Y: 0.264 0.603 0.661
Y: 0.381 0.220 0.161
Y: 0.619 0.780 0.839
Y: 0.736 0.397 0.339
Y: 0.940 0.780 0.161
Y: 0.942 0.603 0.339

This entry pairs a crystal structure of Ce4SiPb with its calculated powder diffraction line list. Radiation: Cu Kα. Structure: a cell relaxed with GGA-PBE.
Peak positions follow from Bragg's law for the DFT cell and can differ from measured ones.

Top 12 peaks for 2θ from 5° to 70°, by angle:
13.16°, d = 6.725 Å, I = 23
25.40°, d = 3.507 Å, I = 35
29.90°, d = 2.988 Å, I = 29
30.09°, d = 2.970 Å, I = 38
30.46°, d = 2.934 Å, I = 73
33.40°, d = 2.682 Å, I = 65
34.03°, d = 2.634 Å, I = 60
34.54°, d = 2.596 Å, I = 26
35.31°, d = 2.542 Å, I = 100
35.55°, d = 2.525 Å, I = 39
38.14°, d = 2.359 Å, I = 25
42.86°, d = 2.110 Å, I = 28

Structural model:
a b c (Å): 8.134 8.134 6.001
angles (deg): 100.70 100.70 119.15
Atoms (fractional coordinates):
Ce: 0.108 0.743 0.922
Ce: 0.225 0.395 0.654
Ce: 0.257 0.892 0.578
Ce: 0.395 0.225 0.154
Ce: 0.605 0.775 0.846
Ce: 0.743 0.108 0.422
Ce: 0.775 0.605 0.346
Ce: 0.892 0.257 0.078
Si: 0.008 0.992 0.250
Si: 0.992 0.008 0.750
Pb: 0.376 0.624 0.250
Pb: 0.624 0.376 0.750

This entry pairs a crystal structure of Pr12Ga2Hg5 with its calculated powder diffraction line list. Radiation: Cu Kα. Structure: a cell relaxed with GGA-PBE.
Peak positions follow from Bragg's law for the DFT cell and can differ from measured ones.

Top 12 peaks for 2θ from 5° to 70°, by angle:
19.61°, d = 4.528 Å, I = 69
21.30°, d = 4.172 Å, I = 81
30.61°, d = 2.921 Å, I = 100
31.26°, d = 2.861 Å, I = 84
31.93°, d = 2.803 Å, I = 64
33.25°, d = 2.695 Å, I = 66
34.47°, d = 2.602 Å, I = 73
35.55°, d = 2.525 Å, I = 80
36.37°, d = 2.471 Å, I = 43
39.73°, d = 2.268 Å, I = 40
49.22°, d = 1.851 Å, I = 34
62.16°, d = 1.493 Å, I = 39

Structural model:
a b c (Å): 9.541 9.541 10.128
angles (deg): 101.57 101.57 45.66
Atoms (fractional coordinates):
Pr: 0.012 0.012 0.293
Pr: 0.075 0.579 0.893
Pr: 0.107 0.600 0.421
Pr: 0.400 0.893 0.579
Pr: 0.421 0.925 0.107
Pr: 0.474 0.474 0.178
Pr: 0.526 0.526 0.822
Pr: 0.579 0.075 0.893
Pr: 0.600 0.107 0.421
Pr: 0.893 0.400 0.579
Pr: 0.925 0.421 0.107
Pr: 0.988 0.988 0.707
Ga: 0.173 0.827 0.000
Ga: 0.827 0.173 0.000
Hg: 0.168 0.168 0.849
Hg: 0.203 0.203 0.369
Hg: 0.500 0.500 0.500
Hg: 0.797 0.797 0.631
Hg: 0.832 0.832 0.151

This entry pairs a crystal structure of IrPdRh4 with its calculated powder diffraction line list. Radiation: Cu Kα. Structure: a cell relaxed with GGA-PBE.
Peak positions follow from Bragg's law for the DFT cell and can differ from measured ones.

Top 12 peaks for 2θ from 5° to 70°, by angle:
7.64°, d = 11.569 Å, I = 16
15.32°, d = 5.785 Å, I = 3
23.06°, d = 3.856 Å, I = 1
32.76°, d = 2.734 Å, I = 1
33.68°, d = 2.661 Å, I = 2
36.34°, d = 2.472 Å, I = 1
40.44°, d = 2.230 Å, I = 100
45.66°, d = 1.987 Å, I = 2
47.00°, d = 1.933 Å, I = 32
47.13°, d = 1.928 Å, I = 16
68.66°, d = 1.367 Å, I = 10
68.76°, d = 1.365 Å, I = 20

Structural model:
a b c (Å): 2.734 2.734 11.569
angles (deg): 90.00 90.00 90.00
Atoms (fractional coordinates):
Ir: 0.000 0.000 0.000
Pd: 0.500 0.500 0.500
Rh: 0.000 0.000 0.329
Rh: 0.000 0.000 0.671
Rh: 0.500 0.500 0.165
Rh: 0.500 0.500 0.835

This entry pairs a crystal structure of Ac3PmTe4 with its calculated powder diffraction line list. Radiation: Cu Kα. Structure: a cell relaxed with GGA-PBE.
Peak positions follow from Bragg's law for the DFT cell and can differ from measured ones.

Top 12 peaks for 2θ from 5° to 70°, by angle:
23.13°, d = 3.845 Å, I = 5
27.01°, d = 3.301 Å, I = 100
38.06°, d = 2.364 Å, I = 13
38.57°, d = 2.334 Å, I = 52
39.10°, d = 2.304 Å, I = 13
47.28°, d = 1.922 Å, I = 14
48.16°, d = 1.889 Å, I = 14
55.70°, d = 1.650 Å, I = 13
62.25°, d = 1.491 Å, I = 6
62.96°, d = 1.476 Å, I = 25
63.71°, d = 1.461 Å, I = 6
69.11°, d = 1.359 Å, I = 9

Structural model:
a b c (Å): 9.458 13.208 4.607
angles (deg): 90.00 90.00 90.00
Atoms (fractional coordinates):
Ac: 0.000 0.000 0.000
Ac: 0.250 0.250 0.500
Ac: 0.250 0.750 0.500
Ac: 0.500 0.500 0.000
Ac: 0.750 0.250 0.500
Ac: 0.750 0.750 0.500
Pm: 0.000 0.500 0.000
Pm: 0.500 0.000 0.000
Te: 0.000 0.256 0.000
Te: 0.000 0.744 0.000
Te: 0.238 0.500 0.500
Te: 0.262 0.000 0.500
Te: 0.500 0.244 0.000
Te: 0.500 0.756 0.000
Te: 0.738 0.000 0.500
Te: 0.762 0.500 0.500

This entry pairs a crystal structure of Y2Pa2Se2S5 with its calculated powder diffraction line list. Radiation: Cu Kα. Structure: a cell relaxed with GGA-PBE.
Peak positions follow from Bragg's law for the DFT cell and can differ from measured ones.

Top 12 peaks for 2θ from 5° to 70°, by angle:
15.01°, d = 5.903 Å, I = 80
17.11°, d = 5.183 Å, I = 84
23.69°, d = 3.756 Å, I = 100
25.23°, d = 3.529 Å, I = 40
33.75°, d = 2.656 Å, I = 79
37.12°, d = 2.422 Å, I = 34
38.08°, d = 2.363 Å, I = 27
38.26°, d = 2.352 Å, I = 80
42.60°, d = 2.122 Å, I = 21
48.47°, d = 1.878 Å, I = 28
51.92°, d = 1.761 Å, I = 67
54.64°, d = 1.680 Å, I = 21

Structural model:
a b c (Å): 12.390 12.390 12.390
angles (deg): 155.24 155.24 35.30
Atoms (fractional coordinates):
Y: 0.160 0.160 0.000
Y: 0.840 0.840 0.000
Pa: 0.390 0.390 0.000
Pa: 0.610 0.610 0.000
Se: 0.275 0.275 0.000
Se: 0.725 0.725 0.000
S: 0.118 0.618 0.500
S: 0.382 0.882 0.500
S: 0.500 0.500 0.000
S: 0.618 0.118 0.500
S: 0.882 0.382 0.500